The following is a computed powder diffractogram of BaSr2Mn2Si4O14. It was derived from a PBE+U-relaxed structure, using a wavelength of 1.5418 Å.

Structural model:
```
BaSr2Mn2Si4O14
1.0
7.4181 -3.9371 0.0000
7.4181 3.9371 0.0000
-0.2925 0.0000 5.2252
Ba Sr Mn Si O
1 2 2 4 14
Cartesian
0.0000 0.0000 0.0000
4.3880 1.4032 0.0987
10.1557 1.4032 5.1264
7.2719 1.3070 2.6126
7.4181 -0.2235 0.0000
2.4348 -0.2160 2.6808
5.3144 -1.1848 2.8160
9.2294 -1.1848 2.4091
12.1090 -0.2160 2.5444
5.8764 2.8165 1.9062
2.6736 -0.2575 1.0906
8.6674 2.8165 3.3190
6.2843 1.1809 4.2242
3.8469 -0.6737 3.5003
8.2594 1.1809 1.0010
5.8543 -0.0956 1.7336
8.6894 -0.0956 3.4916
6.2542 -1.6034 4.0736
4.8932 -2.5801 1.9749
8.2896 -1.6034 1.1516
10.6968 -0.6737 1.7249
11.8702 -0.2575 4.1346
9.6506 -2.5801 3.2503
```

Principal peaks in the range 15 to 90 degrees two-theta, low angle first:
26.66°, I = 88; 27.95°, I = 81; 28.76°, I = 47; 30.51°, I = 100; 31.28°, I = 94; 46.18°, I = 43